# CrCuMo3
Theoretical powder diffraction line list, Cu Kα. Input: a cell relaxed with PBE.

Unit cell a=4.458 b=4.458 c=4.458 alpha=90.00 beta=90.00 gamma=90.00
Sites, in units of the cell vectors:
Cr1 0.000 0.000 0.000
Cu1 0.500 0.500 0.500
Mo1 0.000 0.500 0.500
Mo2 0.500 0.000 0.500
Mo3 0.500 0.500 0.000

Principal peaks in the range 10° ≤ 2θ ≤ 80°, sorted by position:
d = 4.458 Å, 19.92°, rel. 46
d = 2.574 Å, 34.86°, rel. 91
d = 2.229 Å, 40.47°, rel. 100
d = 1.994 Å, 45.49°, rel. 21
d = 1.576 Å, 58.56°, rel. 64
d = 1.486 Å, 62.50°, rel. 10
d = 1.344 Å, 69.99°, rel. 34
d = 1.287 Å, 73.60°, rel. 21



# PmMgZn2Pd2
Theoretical powder diffraction line list, Cu Kα. Input: a cell relaxed with PBE.

Unit cell a=4.439 b=4.439 c=6.697 alpha=90.00 beta=90.00 gamma=120.00
Sites, in units of the cell vectors:
Pm1 0.000 0.000 0.000
Mg1 0.000 0.000 0.500
Zn1 0.333 0.667 0.294
Zn2 0.667 0.333 0.706
Pd1 0.333 0.667 0.703
Pd2 0.667 0.333 0.297

Principal peaks in the range 10° ≤ 2θ ≤ 80°, sorted by position:
d = 3.334 Å, 26.74°, rel. 66
d = 2.525 Å, 35.56°, rel. 100
d = 2.232 Å, 40.40°, rel. 17
d = 2.219 Å, 40.65°, rel. 91
d = 1.848 Å, 49.30°, rel. 18
d = 1.667 Å, 55.09°, rel. 28
d = 1.574 Å, 58.66°, rel. 33
d = 1.333 Å, 70.68°, rel. 26



# Na3In4Pb3
Theoretical powder diffraction line list, Cu Kα. Input: a cell relaxed with PBE.

Unit cell a=3.777 b=8.965 c=8.965 alpha=90.38 beta=90.00 gamma=90.00
Sites, in units of the cell vectors:
Na1 0.000 0.000 0.000
Na2 0.500 0.180 0.661
Na3 0.500 0.661 0.180
In1 0.500 0.046 0.294
In2 0.500 0.294 0.046
In3 0.500 0.551 0.551
In4 0.500 0.801 0.801
Pb1 0.000 0.345 0.345
Pb2 0.000 0.502 0.850
Pb3 0.000 0.850 0.502

Principal peaks in the range 10° ≤ 2θ ≤ 80°, sorted by position:
d = 6.324 Å, 14.00°, rel. 39
d = 4.483 Å, 19.81°, rel. 15
d = 2.888 Å, 30.96°, rel. 17
d = 2.841 Å, 31.49°, rel. 14
d = 2.829 Å, 31.62°, rel. 17
d = 2.750 Å, 32.56°, rel. 100
d = 1.888 Å, 48.21°, rel. 15
d = 1.572 Å, 58.75°, rel. 10



# SmDy12Ho5
Theoretical powder diffraction line list, Cu Kα. Input: a cell relaxed with PBE.

Unit cell a=10.619 b=10.619 c=5.004 alpha=90.00 beta=90.00 gamma=90.11
Sites, in units of the cell vectors:
Sm1 0.000 0.000 0.000
Dy1 0.000 0.334 0.000
Dy2 0.000 0.666 0.000
Dy3 0.167 0.167 0.500
Dy4 0.167 0.500 0.500
Dy5 0.334 0.000 0.000
Dy6 0.334 0.334 0.000
Dy7 0.500 0.167 0.500
Dy8 0.500 0.833 0.500
Dy9 0.666 0.000 0.000
Dy10 0.666 0.666 0.000
Dy11 0.833 0.500 0.500
Dy12 0.833 0.833 0.500
Ho1 0.168 0.832 0.500
Ho2 0.334 0.666 0.000
Ho3 0.500 0.500 0.500
Ho4 0.666 0.334 0.000
Ho5 0.832 0.168 0.500

Principal peaks in the range 10° ≤ 2θ ≤ 80°, sorted by position:
d = 2.890 Å, 30.95°, rel. 100
d = 2.503 Å, 35.88°, rel. 51
d = 1.770 Å, 51.65°, rel. 36
d = 1.509 Å, 61.44°, rel. 43
d = 1.445 Å, 64.49°, rel. 12
d = 1.253 Å, 75.96°, rel. 2
d = 1.251 Å, 76.11°, rel. 4



Repeat the second record exactly.
# PmMgZn2Pd2
Theoretical powder diffraction line list, Cu Kα. Input: a cell relaxed with PBE.

Unit cell a=4.439 b=4.439 c=6.697 alpha=90.00 beta=90.00 gamma=120.00
Sites, in units of the cell vectors:
Pm1 0.000 0.000 0.000
Mg1 0.000 0.000 0.500
Zn1 0.333 0.667 0.294
Zn2 0.667 0.333 0.706
Pd1 0.333 0.667 0.703
Pd2 0.667 0.333 0.297

Principal peaks in the range 10° ≤ 2θ ≤ 80°, sorted by position:
d = 3.334 Å, 26.74°, rel. 66
d = 2.525 Å, 35.56°, rel. 100
d = 2.232 Å, 40.40°, rel. 17
d = 2.219 Å, 40.65°, rel. 91
d = 1.848 Å, 49.30°, rel. 18
d = 1.667 Å, 55.09°, rel. 28
d = 1.574 Å, 58.66°, rel. 33
d = 1.333 Å, 70.68°, rel. 26